No. 1
Theoretical X-ray diffraction stick pattern
Compound: Li2Mg2F7
Radiation: Cu Kα (λ = 1.5418 Å)
Structure: DFT lattice parameters and positions (GGA-PBE)
No peak broadening, texture or thermal motion is included.

a b c (Å): 4.985 4.985 5.246
angles (deg): 97.33 97.33 83.12
Fractional positions:
Li (0.205, 0.795, 0.000)
Li (0.795, 0.205, 0.000)
Mg (0.232, 0.232, 0.505)
Mg (0.768, 0.768, 0.495)
F (0.033, 0.033, 0.743)
F (0.042, 0.537, 0.746)
F (0.463, 0.958, 0.254)
F (0.500, 0.500, 0.500)
F (0.537, 0.042, 0.746)
F (0.958, 0.463, 0.254)
F (0.967, 0.967, 0.257)

Top 8 peaks for 10° ≤ 2θ ≤ 90°, in order of falling intensity:
| d_spacing | Rel. int. |
| --- | --- |
| 5.169 | 100 |
| 2.786 | 62 |
| 1.892 | 53 |
| 1.688 | 40 |
| 2.036 | 36 |
| 4.917 | 33 |
| 1.654 | 29 |
| 3.675 | 29 |

No. 2
Theoretical X-ray diffraction stick pattern
Compound: Ba3Sr3Np2
Radiation: Cu Kα (λ = 1.5418 Å)
Structure: DFT lattice parameters and positions (GGA-PBE)
No peak broadening, texture or thermal motion is included.

a b c (Å): 6.565 6.565 9.146
angles (deg): 90.00 90.00 90.00
Fractional positions:
Ba (0.000, 0.000, 0.000)
Ba (0.000, 0.000, 0.500)
Ba (0.500, 0.500, 0.000)
Sr (0.000, 0.500, 0.745)
Sr (0.500, 0.000, 0.255)
Sr (0.500, 0.500, 0.500)
Np (0.000, 0.500, 0.253)
Np (0.500, 0.000, 0.747)

Top 8 peaks for 10° ≤ 2θ ≤ 90°, in order of falling intensity:
| d_spacing | Rel. int. |
| --- | --- |
| 3.258 | 100 |
| 3.282 | 51 |
| 1.890 | 43 |
| 1.876 | 21 |
| 5.333 | 20 |
| 2.321 | 20 |
| 1.629 | 13 |
| 1.239 | 11 |